Computed powder X-ray diffraction pattern of La2YEr12 for CuKα, from a crystal structure in Alexandria, relaxed with PBE.
Intensities are scaled so that the largest is 100.

Largest 10 diffraction maxima, sorted by position, 10° ≤ 2θ ≤ 90°:
two_theta	d [Å]	intensity
20.78	4.275	32
28.63	3.118	100
29.78	3.000	56
31.32	2.856	80
32.14	2.785	72
32.73	2.736	60
33.22	2.697	33
39.54	2.279	78
52.24	1.751	36
56.28	1.635	34

Structure:
```
data_La2YEr12
_chemical_formula_sum 'La4 Y2 Er24'
_symmetry_space_group_name_H-M 'P 1'
_symmetry_Int_Tables_number 1
_cell_length_a 6.446
_cell_length_b 6.446
_cell_length_c 24.627
_cell_angle_alpha 90.00
_cell_angle_beta 90.00
_cell_angle_gamma 90.00
loop_
_symmetry_equiv_pos_as_xyz
'x,y,z'
loop_
_atom_site_label
_atom_site_fract_x
_atom_site_fract_y
_atom_site_fract_z
La1 0.250 0.750 0.236
La2 0.250 0.750 0.764
La3 0.750 0.250 0.236
La4 0.750 0.250 0.764
Y1 0.250 0.750 0.500
Y2 0.750 0.250 0.500
Er1 0.001 0.501 0.388
Er2 0.001 0.999 0.612
Er3 0.081 0.581 0.940
Er4 0.081 0.919 0.060
Er5 0.250 0.250 0.160
Er6 0.250 0.250 0.287
Er7 0.250 0.250 0.713
Er8 0.250 0.250 0.840
Er9 0.419 0.581 0.060
Er10 0.419 0.919 0.940
Er11 0.499 0.501 0.612
Er12 0.499 0.999 0.388
Er13 0.501 0.001 0.612
Er14 0.501 0.499 0.388
Er15 0.581 0.081 0.060
Er16 0.581 0.419 0.940
Er17 0.750 0.750 0.160
Er18 0.750 0.750 0.287
Er19 0.750 0.750 0.713
Er20 0.750 0.750 0.840
Er21 0.919 0.081 0.940
Er22 0.919 0.419 0.060
Er23 0.999 0.001 0.388
Er24 0.999 0.499 0.612
```

---

Computed powder X-ray diffraction pattern of La6ErZn5 for CuKα, from a crystal structure in Alexandria, relaxed with PBE.
Intensities are scaled so that the largest is 100.

Largest 10 diffraction maxima, sorted by position, 10° ≤ 2θ ≤ 90°:
two_theta	d [Å]	intensity
32.98	2.716	25
33.25	2.695	100
33.72	2.658	25
47.57	1.911	9
47.89	1.900	17
59.08	1.564	24
59.58	1.552	9
60.01	1.542	18
69.80	1.347	10
79.78	1.202	7

Structure:
```
data_La6ErZn5
_chemical_formula_sum 'La6 Er1 Zn5'
_symmetry_space_group_name_H-M 'P 1'
_symmetry_Int_Tables_number 1
_cell_length_a 5.316
_cell_length_b 7.645
_cell_length_c 8.571
_cell_angle_alpha 90.00
_cell_angle_beta 108.08
_cell_angle_gamma 90.00
loop_
_symmetry_equiv_pos_as_xyz
'x,y,z'
loop_
_atom_site_label
_atom_site_fract_x
_atom_site_fract_y
_atom_site_fract_z
La1 0.000 0.222 0.000
La2 0.000 0.778 0.000
La3 0.327 0.246 0.651
La4 0.327 0.754 0.651
La5 0.673 0.246 0.349
La6 0.673 0.754 0.349
Er1 0.500 0.500 0.000
Zn1 0.147 0.500 0.298
Zn2 0.165 0.000 0.335
Zn3 0.500 0.000 0.000
Zn4 0.835 0.000 0.665
Zn5 0.853 0.500 0.702
```

---

Computed powder X-ray diffraction pattern of LaEr4Zn for CuKα, from a crystal structure in Alexandria, relaxed with PBE.
Intensities are scaled so that the largest is 100.

Largest 10 diffraction maxima, sorted by position, 10° ≤ 2θ ≤ 90°:
two_theta	d [Å]	intensity
28.24	3.160	21
31.90	2.806	100
32.83	2.728	14
35.61	2.521	50
36.46	2.464	10
49.21	1.852	19
51.25	1.783	18
60.15	1.538	15
61.64	1.505	30
82.90	1.165	12

Structure:
```
data_LaEr4Zn
_chemical_formula_sum 'La1 Er4 Zn1'
_symmetry_space_group_name_H-M 'P 1'
_symmetry_Int_Tables_number 1
_cell_length_a 3.565
_cell_length_b 3.565
_cell_length_c 13.642
_cell_angle_alpha 90.00
_cell_angle_beta 90.00
_cell_angle_gamma 90.00
loop_
_symmetry_equiv_pos_as_xyz
'x,y,z'
loop_
_atom_site_label
_atom_site_fract_x
_atom_site_fract_y
_atom_site_fract_z
La1 0.000 0.000 0.000
Er1 0.000 0.000 0.373
Er2 0.000 0.000 0.627
Er3 0.500 0.500 0.190
Er4 0.500 0.500 0.810
Zn1 0.500 0.500 0.500
```

---

Computed powder X-ray diffraction pattern of La6ErZn2 for CuKα, from a crystal structure in Alexandria, relaxed with PBE.
Intensities are scaled so that the largest is 100.

Largest 10 diffraction maxima, sorted by position, 10° ≤ 2θ ≤ 90°:
two_theta	d [Å]	intensity
27.48	3.246	15
29.63	3.015	15
30.69	2.913	49
31.34	2.854	42
32.23	2.778	99
32.35	2.768	100
46.56	1.950	16
48.12	1.891	20
58.17	1.586	16
79.60	1.204	15

Structure:
```
data_La6ErZn2
_chemical_formula_sum 'La6 Er1 Zn2'
_symmetry_space_group_name_H-M 'P 1'
_symmetry_Int_Tables_number 1
_cell_length_a 6.777
_cell_length_b 6.777
_cell_length_c 12.187
_cell_angle_alpha 108.55
_cell_angle_beta 108.55
_cell_angle_gamma 32.40
loop_
_symmetry_equiv_pos_as_xyz
'x,y,z'
loop_
_atom_site_label
_atom_site_fract_x
_atom_site_fract_y
_atom_site_fract_z
La1 0.030 0.030 0.326
La2 0.308 0.308 0.403
La3 0.313 0.313 0.124
La4 0.687 0.687 0.876
La5 0.692 0.692 0.597
La6 0.970 0.970 0.674
Er1 0.000 0.000 0.000
Zn1 0.360 0.360 0.814
Zn2 0.640 0.640 0.186
```

---

Computed powder X-ray diffraction pattern of LaErZn4 for CuKα, from a crystal structure in Alexandria, relaxed with PBE.
Intensities are scaled so that the largest is 100.

Largest 10 diffraction maxima, sorted by position, 10° ≤ 2θ ≤ 90°:
two_theta	d [Å]	intensity
19.60	4.528	7
32.28	2.773	56
38.05	2.365	100
39.81	2.264	19
57.57	1.601	21
61.43	1.509	32
67.56	1.386	24
76.87	1.240	9
80.26	1.196	11
81.39	1.182	6

Structure:
```
data_LaErZn4
_chemical_formula_sum 'La1 Er1 Zn4'
_symmetry_space_group_name_H-M 'P 1'
_symmetry_Int_Tables_number 1
_cell_length_a 5.546
_cell_length_b 5.546
_cell_length_c 5.546
_cell_angle_alpha 60.00
_cell_angle_beta 60.00
_cell_angle_gamma 60.00
loop_
_symmetry_equiv_pos_as_xyz
'x,y,z'
loop_
_atom_site_label
_atom_site_fract_x
_atom_site_fract_y
_atom_site_fract_z
La1 0.000 0.000 0.000
Er1 0.750 0.750 0.750
Zn1 0.376 0.376 0.376
Zn2 0.376 0.376 0.873
Zn3 0.376 0.873 0.376
Zn4 0.873 0.376 0.376
```

---

Computed powder X-ray diffraction pattern of LaEr14Zr for CuKα, from a crystal structure in Alexandria, relaxed with PBE.
Intensities are scaled so that the largest is 100.

Largest 10 diffraction maxima, sorted by position, 10° ≤ 2θ ≤ 90°:
two_theta	d [Å]	intensity
31.33	2.855	100
36.25	2.478	34
36.52	2.461	17
52.20	1.752	12
52.40	1.746	24
62.15	1.494	28
62.51	1.486	14
65.38	1.427	12
85.41	1.137	6
85.73	1.133	12

Structure:
```
data_LaEr14Zr
_chemical_formula_sum 'La1 Er14 Zr1'
_symmetry_space_group_name_H-M 'P 1'
_symmetry_Int_Tables_number 1
_cell_length_a 7.010
_cell_length_b 7.010
_cell_length_c 9.843
_cell_angle_alpha 90.00
_cell_angle_beta 90.00
_cell_angle_gamma 90.00
loop_
_symmetry_equiv_pos_as_xyz
'x,y,z'
loop_
_atom_site_label
_atom_site_fract_x
_atom_site_fract_y
_atom_site_fract_z
La1 0.000 0.000 0.000
Er1 0.000 0.000 0.500
Er2 0.000 0.500 0.000
Er3 0.000 0.500 0.500
Er4 0.256 0.256 0.247
Er5 0.256 0.256 0.753
Er6 0.256 0.744 0.247
Er7 0.256 0.744 0.753
Er8 0.500 0.000 0.000
Er9 0.500 0.000 0.500
Er10 0.500 0.500 0.500
Er11 0.744 0.256 0.247
Er12 0.744 0.256 0.753
Er13 0.744 0.744 0.247
Er14 0.744 0.744 0.753
Zr1 0.500 0.500 0.000
```

---

Computed powder X-ray diffraction pattern of Li6ErMg6 for CuKα, from a crystal structure in Alexandria, relaxed with PBE.
Intensities are scaled so that the largest is 100.

Largest 10 diffraction maxima, sorted by position, 10° ≤ 2θ ≤ 90°:
two_theta	d [Å]	intensity
12.39	7.146	85
17.35	5.112	68
17.75	4.996	28
18.53	4.789	100
25.73	3.463	52
27.66	3.226	35
30.96	2.888	33
31.49	2.841	58
35.92	2.500	64
36.17	2.483	56

Structure:
```
data_Li6ErMg6
_chemical_formula_sum 'Li6 Er1 Mg6'
_symmetry_space_group_name_H-M 'P 1'
_symmetry_Int_Tables_number 1
_cell_length_a 7.648
_cell_length_b 7.648
_cell_length_c 7.648
_cell_angle_alpha 138.32
_cell_angle_beta 98.43
_cell_angle_gamma 96.11
loop_
_symmetry_equiv_pos_as_xyz
'x,y,z'
loop_
_atom_site_label
_atom_site_fract_x
_atom_site_fract_y
_atom_site_fract_z
Li1 0.000 0.000 0.500
Li2 0.000 0.500 0.000
Li3 0.220 0.220 0.000
Li4 0.500 0.000 0.000
Li5 0.500 0.500 0.500
Li6 0.780 0.780 0.000
Er1 0.000 0.500 0.500
Mg1 0.196 0.000 0.196
Mg2 0.348 0.500 0.848
Mg3 0.350 0.850 0.500
Mg4 0.650 0.150 0.500
Mg5 0.652 0.500 0.152
Mg6 0.804 0.000 0.804
```

---

Computed powder X-ray diffraction pattern of Li2ErMg10 for CuKα, from a crystal structure in Alexandria, relaxed with PBE.
Intensities are scaled so that the largest is 100.

Largest 10 diffraction maxima, sorted by position, 10° ≤ 2θ ≤ 90°:
two_theta	d [Å]	intensity
12.22	7.245	71
17.31	5.123	38
17.95	4.941	50
25.04	3.556	72
27.53	3.240	36
30.60	2.921	59
35.03	2.561	33
35.37	2.538	100
36.37	2.470	43
58.90	1.568	22

Structure:
```
data_Li2ErMg10
_chemical_formula_sum 'Li2 Er1 Mg10'
_symmetry_space_group_name_H-M 'P 1'
_symmetry_Int_Tables_number 1
_cell_length_a 10.245
_cell_length_b 7.774
_cell_length_c 7.774
_cell_angle_alpha 82.44
_cell_angle_beta 48.78
_cell_angle_gamma 48.78
loop_
_symmetry_equiv_pos_as_xyz
'x,y,z'
loop_
_atom_site_label
_atom_site_fract_x
_atom_site_fract_y
_atom_site_fract_z
Li1 0.000 0.500 0.000
Li2 0.500 0.000 0.500
Er1 0.000 0.000 0.000
Mg1 0.000 0.000 0.500
Mg2 0.008 0.350 0.650
Mg3 0.289 0.495 0.505
Mg4 0.350 0.008 0.992
Mg5 0.495 0.289 0.711
Mg6 0.500 0.500 0.000
Mg7 0.505 0.711 0.289
Mg8 0.650 0.992 0.008
Mg9 0.711 0.505 0.495
Mg10 0.992 0.650 0.350
```